# La5Al2Ru3
Computed powder X-ray diffraction pattern, Cu Kα (λ = 1.5418 Å). Input: a DFT-relaxed cell (PBE, the Materials Project).

Structure:
Lattice parameters (Å, degrees): 9.9747 9.9747 9.9747 90.00 90.00 90.00
Space group I2_13 (No. 199)
Unique sites:
La (0.0000, 0.2500, 0.4399) (multiplicity 12)
La (0.1056, 0.1056, 0.1056) (multiplicity 8)
Al (0.2067, 0.2933, 0.7067) (multiplicity 8)
Ru (0.0000, 0.2500, 0.8672) (multiplicity 12)

The 10 most intense peaks (10° ≤ 2θ ≤ 90°), by intensity:
2θ = 33.6°, intensity 100; 2θ = 28.3°, intensity 45; 2θ = 50.1°, intensity 31; 2θ = 40.4°, intensity 26; 2θ = 31.1°, intensity 24; 2θ = 56.9°, intensity 18; 2θ = 46.4°, intensity 17; 2θ = 25.3°, intensity 14; 2θ = 38.3°, intensity 14; 2θ = 75.0°, intensity 11